Structure and simulated PXRD pattern of LiAgPb (a GGA-PBE-relaxed structure; Cu Kα (weighted mean of Kα1 and Kα2)).
No peak broadening, texture or thermal motion is included.

The 12 most intense peaks (15° ≤ 2θ ≤ 90°), most intense first:
d_spacing	I (rel.)	(hkl)
3.104	100.0	0 1 1
3.418	63.8	1 0 0
2.305	47.4	1 1 -1
2.291	46.6	1 1 1
2.362	25.4	0 0 2
1.764	21.3	1 2 0
2.059	17.0	0 2 0
1.552	13.7	0 2 2
1.951	13.5	1 0 -2
1.935	13.1	1 0 2
1.501	11.5	2 1 -1
1.493	11.3	2 1 1

Atomic structure:
```
LiAgPb
1.0
3.4185 0.0000 0.0000
0.0000 4.1179 0.0000
-0.0426 0.0000 4.7239
Li Ag Pb
1 1 1
Direct
0.0000 0.0000 0.0000
0.5000 0.5000 0.0000
0.5000 0.0000 0.5000
```